Pr4TlRh2: calculated powder XRD pattern (Cu Kα (λ = 1.5418 Å)), based on a DFT-relaxed cell (GGA-PBE, Alexandria).
No peak broadening, texture or thermal motion is included.

Principal peaks in the range 2θ = 15–90°, low angle first:
2theta, I/Imax
24.3, 13
26.6, 54
32.6, 100
34.2, 11
42.6, 49
50.8, 19
50.9, 9
54.7, 33
68.5, 15
71.7, 19
78.0, 8
84.0, 10

Atomic structure:
Cell lengths 13.9517, 13.9517, 13.9517 Å; angles 17.49, 17.49, 17.49 degrees
Fractional coordinates of all 7 atoms:
Pr (0.1086, 0.1086, 0.1086)
Pr (0.2977, 0.2977, 0.2977)
Pr (0.7023, 0.7023, 0.7023)
Pr (0.8914, 0.8914, 0.8914)
Tl (0.5000, 0.5000, 0.5000)
Rh (0.4042, 0.4042, 0.4042)
Rh (0.5958, 0.5958, 0.5958)